Starting from the GGA-PBE geometry in Alexandria, the X-ray diffraction stick pattern of LiSnAu4 was simulated for Cu Kα X-rays.

```
data_LiSnAu4
_chemical_formula_sum 'Li4 Sn4 Au16'
_cell_length_a 12.8728
_cell_length_b 7.0871
_cell_length_c 5.4551
_cell_angle_alpha 90.00
_cell_angle_beta 114.89
_cell_angle_gamma 90.00
_symmetry_space_group_name_H-M 'C 1 2/m 1'
_symmetry_Int_Tables_number 12
_symmetry_space_group_name_Hall '-C 2y'
loop_
_atom_site_label
_atom_site_type_symbol
_atom_site_fract_x
_atom_site_fract_y
_atom_site_fract_z
Li1 Li 0.0399 0.0000 0.3218
Sn1 Sn 0.2076 0.5000 0.3166
Au1 Au 0.0000 0.2941 0.0000
Au2 Au 0.1208 0.2909 0.6564
Au3 Au 0.1728 0.0000 0.0628
```

Principal peaks in the range 2θ from 5° to 70°, sorted by position:
d (Å)  Position (°2θ)  Rel. int.  index
3.172  28.13  18.7  2 0 1
3.029  29.49  42.1  2 2 0
2.728  32.84  37.7  2 0 -2
2.486  36.13  35.6  3 1 -2
2.422  37.12  29.3  3 1 1
2.362  38.10  100.0  2 2 1
2.315  38.90  21.8  1 3 0
2.161  41.79  18.8  2 2 -2
2.144  42.14  38.7  6 0 -1
2.025  44.75  20.1  4 2 -2
1.766  51.78  17.4  1 3 -2
1.740  52.61  14.6  5 3 -1